This entry pairs a crystal structure of SrMg16Al12 with its theoretical XRD peak list. Radiation: Cu Kα (weighted mean of Kα1 and Kα2). Structure: the GGA-PBE geometry in the Materials Project.
Neutral-atom scattering factors, no anomalous dispersion.

Peak list (6 most intense, 2θ from 5° to 70°, in order of falling intensity)
d/Å  two_theta  intensity
2.507  35.8  1000
1.448  64.4  268
2.268  39.7  228
2.172  41.6  130
7.522  11.8  128
1.504  61.6  116

Cell and atoms:
```
29
Lattice="-5.3192 5.3192 5.3192 5.3192 -5.3192 5.3192 5.3192 5.3192 -5.3192" Properties=species:S:1:pos:R:3 pbc="T T T"
Sr 0.0000 0.0000 0.0000
Mg 3.3956 3.3956 -3.3956
Mg 5.7342 1.5050 -1.5050
Mg 3.3956 -3.3956 3.3956
Mg 5.7342 -1.5050 1.5050
Mg 4.9041 1.5050 1.5050
Mg 3.8142 3.8142 -0.4150
Mg 3.8142 -0.4150 3.8142
Mg 1.9236 1.9236 1.9236
Mg 1.5050 5.7342 -1.5050
Mg 1.5050 -1.5050 5.7342
Mg 1.5050 4.9041 1.5050
Mg 1.5050 1.5050 4.9041
Mg -3.3956 3.3956 3.3956
Mg -1.5050 5.7342 1.5050
Mg -1.5050 1.5050 5.7342
Mg -0.4150 3.8142 3.8142
Al 2.9780 0.9700 -0.9700
Al 2.9780 -0.9700 0.9700
Al 7.6604 0.9700 0.9700
Al 0.9700 2.9780 -0.9700
Al 0.9700 -0.9700 2.9780
Al -0.9700 2.9780 0.9700
Al -0.9700 0.9700 2.9780
Al 4.3491 4.3491 2.3412
Al 4.3491 2.3412 4.3491
Al 0.9700 7.6604 0.9700
Al 0.9700 0.9700 7.6604
Al 2.3412 4.3491 4.3491
```